Record 1
Structure and theoretical X-ray diffraction stick pattern of NdEr4Sc (a cell relaxed with GGA-PBE; Cu Ka).
Neutral-atom scattering factors, no anomalous dispersion.

Structure:
```
data_NdEr4Sc
_symmetry_space_group_name_H-M 'R -3 m'
_symmetry_Int_Tables_number 166
_symmetry_space_group_name_Hall '-R 3 2"'
_cell_length_a 3.5421
_cell_length_b 3.5421
_cell_length_c 50.2954
_cell_angle_alpha 90.00
_cell_angle_beta 90.00
_cell_angle_gamma 120.00
loop_
_atom_site_label
_atom_site_fract_x
_atom_site_fract_y
_atom_site_fract_z
_atom_site_occupancy
Nd1 0.0000 0.0000 0.0000 1
Er1 0.0000 0.0000 0.1138 1
Er2 0.0000 0.0000 0.3913 1
Sc1 0.0000 0.0000 0.5000 1
```

Most intense lines, 2θ from 10° to 80°, in order of rising 2θ:
d [Å], 2θ/deg, I_rel, hkl
8.383, 10.55, 16, 0 0 6
3.045, 29.33, 25, 0 1 2
2.980, 29.98, 47, 1 0 4
2.794, 32.03, 49, 0 0 18
2.757, 32.48, 100, 0 1 8
2.619, 34.24, 85, 1 0 10
2.333, 38.59, 22, 0 1 14
1.771, 51.61, 41, 1 1 0
1.636, 56.22, 19, 0 1 26
1.496, 62.04, 44, 1 1 18

Record 2
Structure and theoretical X-ray diffraction stick pattern of NdEr2Sc4 (a cell relaxed with GGA-PBE; Cu Ka).
Neutral-atom scattering factors, no anomalous dispersion.

Structure:
```
data_NdEr2Sc4
_symmetry_space_group_name_H-M 'P 1'
_symmetry_Int_Tables_number 1
_cell_length_a 6.7181
_cell_length_b 8.1793
_cell_length_c 8.3080
_cell_angle_alpha 61.11
_cell_angle_beta 89.83
_cell_angle_gamma 77.92
loop_
_symmetry_equiv_pos_as_xyz
'x,y,z'
loop_
_atom_site_label
_atom_site_fract_x
_atom_site_fract_y
_atom_site_fract_z
_atom_site_occupancy
Nd1 0.0000 0.0000 0.0000 1
Nd2 0.1737 0.3230 0.1206 1
Er1 0.0341 0.8707 0.4728 1
Er2 0.2148 0.1879 0.5889 1
Er3 0.6690 0.3132 0.1353 1
Er4 0.8429 0.5962 0.3002 1
Sc1 0.3265 0.7357 0.8674 1
Sc2 0.3573 0.6007 0.2993 1
Sc3 0.3948 0.4588 0.7221 1
Sc4 0.5017 0.0060 0.9997 1
Sc5 0.5383 0.8673 0.4698 1
Sc6 0.7045 0.1870 0.5947 1
Sc7 0.8068 0.7422 0.8575 1
Sc8 0.8836 0.4582 0.7243 1
```

Most intense lines, 2θ from 10° to 80°, in order of rising 2θ:
d [Å], 2θ/deg, I_rel, hkl
6.526, 13.57, 20, 1 0 0
3.519, 25.31, 21, 0 2 2
2.836, 31.55, 25, 2 2 1
2.825, 31.67, 28, -2 1 1
2.724, 32.88, 35, 2 2 0
2.717, 32.97, 32, 2 -1 0
2.703, 33.14, 100, 0 1 -2
2.615, 34.29, 48, 0 3 1
2.576, 34.83, 65, 2 1 2
1.870, 48.70, 18, 2 -2 1

Record 3
Structure and theoretical X-ray diffraction stick pattern of Nd3Er2ScSe6 (a cell relaxed with GGA-PBE; Cu Ka).
Neutral-atom scattering factors, no anomalous dispersion.

Structure:
```
data_Nd3Er2ScSe6
_symmetry_space_group_name_H-M 'C 1 2/m 1'
_symmetry_Int_Tables_number 12
_cell_length_a 18.0599
_cell_length_b 4.0538
_cell_length_c 8.3471
_cell_angle_alpha 90.00
_cell_angle_beta 105.43
_cell_angle_gamma 90.00
loop_
_symmetry_equiv_pos_as_xyz
'x,y,z'
'-x,-y,-z'
'-x,y,-z'
'x,-y,z'
'x+1/2,y+1/2,z'
'-x+1/2,-y+1/2,-z'
'-x+1/2,y+1/2,-z'
'x+1/2,-y+1/2,z'
loop_
_atom_site_label
_atom_site_fract_x
_atom_site_fract_y
_atom_site_fract_z
_atom_site_occupancy
Nd1 0.0000 0.0000 0.0000 1
Nd2 0.1683 0.5000 0.3354 1
Er1 0.1654 0.5000 0.8312 1
Sc1 0.0000 0.0000 0.5000 1
Se1 0.0025 0.5000 0.7315 1
Se2 0.1588 0.0000 0.5913 1
Se3 0.1710 0.0000 0.0730 1
```

Most intense lines, 2θ from 10° to 80°, in order of rising 2θ:
d [Å], 2θ/deg, I_rel, hkl
3.326, 26.81, 9, 2 0 2
2.905, 30.78, 100, 1 1 -2
2.085, 43.39, 12, 2 0 -4
2.080, 43.51, 25, 7 1 -2
2.028, 44.69, 36, 0 2 0
1.723, 53.15, 6, 8 0 -4
1.665, 55.16, 6, 4 0 4
1.662, 55.29, 13, 6 2 0
1.453, 64.06, 8, 2 2 -4
1.286, 73.68, 16, 1 3 -2